[1]
Starting from a structure optimized by DFT (GGA-PBE), the PXRD pattern of Ag3Pd2Au7 was calculated for Cu Kα, 1.54184 Å.
Lines closer than 0.1° are merged.

Atomic structure:
```
data_Ag3Pd2Au7
_chemical_formula_sum 'Ag3 Pd2 Au7'
_space_group_name_H-M_alt 'P 1 2/m 1'
_space_group_IT_number 10
_space_group_name_Hall '-P 2y'
_cell_length_a 4.7342
_cell_length_b 2.8502
_cell_length_c 16.3340
_cell_angle_alpha 90.00
_cell_angle_beta 91.88
_cell_angle_gamma 90.00
loop_
_atom_site_label
_atom_site_type_symbol
_atom_site_fract_x
_atom_site_fract_y
_atom_site_fract_z
Ag1 Ag 0.0000 0.0000 0.0000
Ag2 Ag 0.2684 0.5000 0.6278
Pd1 Pd 0.2202 0.0000 0.2953
Au1 Au 0.2024 0.5000 0.1453
Au2 Au 0.2449 0.0000 0.4584
Au3 Au 0.2894 0.0000 0.7949
Au4 Au 0.5000 0.5000 0.0000
```

Main lines, by angle (2θ from 10° to 90°):
2θ/deg  d_spacing  I_rel  hkl
37.6  2.393  36  1 0 -6
38.0  2.366  22  2 0 0
38.3  2.351  33  2 0 -1
38.5  2.336  30  0 1 4
38.7  2.328  100  1 1 2
40.2  2.242  23  1 1 -3
42.8  2.111  13  1 1 -4
69.9  1.346  15  3 0 6



[2]
Starting from a structure optimized by DFT (GGA-PBE), the PXRD pattern of Ag2Pd6Au3 was calculated for Cu Kα, 1.54184 Å.
Lines closer than 0.1° are merged.

Atomic structure:
```
data_Ag2Pd6Au3
_chemical_formula_sum 'Ag2 Pd6 Au3'
_space_group_name_H-M_alt 'P -1'
_space_group_IT_number 2
_space_group_name_Hall '-P 1'
_cell_length_a 5.6046
_cell_length_b 5.6098
_cell_length_c 6.6294
_cell_angle_alpha 75.04
_cell_angle_beta 75.22
_cell_angle_gamma 75.03
loop_
_atom_site_label
_atom_site_type_symbol
_atom_site_fract_x
_atom_site_fract_y
_atom_site_fract_z
Ag1 Ag 0.1563 0.4003 0.3329
Pd1 Pd 0.1558 0.8847 0.3411
Pd2 Pd 0.3542 0.5285 0.6886
Pd3 Pd 0.4501 0.7902 0.9586
Au1 Au 0.0523 0.2350 0.9871
Au2 Au 0.5000 0.0000 0.5000
```

Main lines, by angle (2θ from 10° to 90°):
2θ/deg  d_spacing  I_rel  hkl
24.1  3.698  24  1 0 -1
33.8  2.648  26  0 2 1
39.5  2.281  100  0 2 -1
39.7  2.268  39  0 2 2
39.8  2.263  60  2 0 2
40.6  2.224  67  2 2 1
41.1  2.197  52  1 -2 0
43.3  2.091  29  0 0 3



[3]
Starting from a structure optimized by DFT (GGA-PBE), the PXRD pattern of Ag3Pd3Au2 was calculated for Cu Kα, 1.54184 Å.
Lines closer than 0.1° are merged.

Atomic structure:
```
data_Ag3Pd3Au2
_chemical_formula_sum 'Ag3 Pd3 Au2'
_space_group_name_H-M_alt 'P m m m'
_space_group_IT_number 47
_space_group_name_Hall '-P 2 2'
_cell_length_a 4.0862
_cell_length_b 4.1278
_cell_length_c 8.0231
_cell_angle_alpha 90.00
_cell_angle_beta 90.00
_cell_angle_gamma 90.00
loop_
_atom_site_label
_atom_site_type_symbol
_atom_site_fract_x
_atom_site_fract_y
_atom_site_fract_z
Ag1 Ag 0.0000 0.0000 0.0000
Ag2 Ag 0.5000 0.0000 0.2531
Pd1 Pd 0.0000 0.0000 0.5000
Pd2 Pd 0.5000 0.5000 0.0000
Pd3 Pd 0.5000 0.5000 0.5000
Au1 Au 0.0000 0.5000 0.2534
```

Main lines, by angle (2θ from 10° to 90°):
2θ/deg  d_spacing  I_rel  hkl
38.3  2.352  100  1 1 2
43.9  2.064  17  0 2 0
44.3  2.043  16  2 0 0
45.2  2.006  15  0 0 4
76.9  1.240  13  1 3 2
77.5  1.231  12  3 1 2
78.8  1.215  12  1 1 6
81.9  1.176  11  2 2 4



[4]
Starting from a structure optimized by DFT (GGA-PBE), the PXRD pattern of Ag12Pd2Au5 was calculated for Cu Kα, 1.54184 Å.
Lines closer than 0.1° are merged.

Atomic structure:
```
data_Ag12Pd2Au5
_chemical_formula_sum 'Ag24 Pd4 Au10'
_space_group_name_H-M_alt 'C 1 2/m 1'
_space_group_IT_number 12
_space_group_name_Hall '-C 2y'
_cell_length_a 20.1164
_cell_length_b 8.3698
_cell_length_c 4.2109
_cell_angle_alpha 90.00
_cell_angle_beta 102.02
_cell_angle_gamma 90.00
loop_
_atom_site_label
_atom_site_type_symbol
_atom_site_fract_x
_atom_site_fract_y
_atom_site_fract_z
Ag1 Ag 0.0874 0.0000 0.0883
Ag2 Ag 0.0943 0.2398 0.5944
Ag3 Ag 0.1002 0.5000 0.1012
Ag4 Ag 0.1976 0.2460 0.1979
Pd1 Pd 0.0000 0.2622 0.0000
Au1 Au 0.0000 0.5000 0.5000
Au2 Au 0.1972 0.0000 0.6982
Au3 Au 0.1986 0.5000 0.6991
```

Main lines, by angle (2θ from 10° to 90°):
2θ/deg  d_spacing  I_rel  hkl
38.0  2.370  100  4 2 1
43.0  2.105  19  2 0 -2
43.2  2.092  17  0 4 0
46.1  1.968  13  10 0 0
62.6  1.484  12  2 4 -2
64.9  1.438  10  8 0 2
75.4  1.261  13  2 2 3
81.2  1.185  10  8 4 2



[5]
Starting from a structure optimized by DFT (GGA-PBE), the PXRD pattern of Ag6Pd8Au was calculated for Cu Kα, 1.54184 Å.
Lines closer than 0.1° are merged.

Atomic structure:
```
data_Ag6Pd8Au
_chemical_formula_sum 'Ag6 Pd8 Au1'
_space_group_name_H-M_alt 'P 6/m m m'
_space_group_IT_number 191
_space_group_name_Hall '-P 6 2'
_cell_length_a 8.0698
_cell_length_b 8.0698
_cell_length_c 4.7351
_cell_angle_alpha 90.00
_cell_angle_beta 90.00
_cell_angle_gamma 120.00
loop_
_atom_site_label
_atom_site_type_symbol
_atom_site_fract_x
_atom_site_fract_y
_atom_site_fract_z
Ag1 Ag 0.2127 0.4254 0.0000
Pd1 Pd 0.0000 0.3288 0.5000
Pd2 Pd 0.3333 0.6667 0.5000
Au1 Au 0.0000 0.0000 0.0000
```

Main lines, by angle (2θ from 10° to 90°):
2θ/deg  d_spacing  I_rel  hkl
33.9  2.641  34  2 1 0
38.0  2.368  55  0 0 2
38.7  2.330  28  3 0 0
39.0  2.307  100  2 1 1
43.3  2.090  73  3 0 1
55.3  1.661  20  3 0 2
69.9  1.345  24  3 3 0
82.5  1.169  31  3 3 2



[6]
Starting from a structure optimized by DFT (GGA-PBE), the PXRD pattern of Ag2Pd3Au6 was calculated for Cu Kα, 1.54184 Å.
Lines closer than 0.1° are merged.

Atomic structure:
```
data_Ag2Pd3Au6
_chemical_formula_sum 'Ag2 Pd3 Au6'
_space_group_name_H-M_alt 'P -1'
_space_group_IT_number 2
_space_group_name_Hall '-P 1'
_cell_length_a 4.1087
_cell_length_b 4.9986
_cell_length_c 10.4479
_cell_angle_alpha 76.18
_cell_angle_beta 78.68
_cell_angle_gamma 65.92
loop_
_atom_site_label
_atom_site_type_symbol
_atom_site_fract_x
_atom_site_fract_y
_atom_site_fract_z
Ag1 Ag 0.1812 0.4115 0.2265
Pd1 Pd 0.0000 0.5000 0.5000
Pd2 Pd 0.0913 0.9526 0.8653
Au1 Au 0.2717 0.8630 0.5921
Au2 Au 0.3650 0.3146 0.9554
Au3 Au 0.4544 0.7744 0.3175
```

Main lines, by angle (2θ from 10° to 90°):
2θ/deg  d_spacing  I_rel  hkl
38.0  2.367  100  1 1 4
38.1  2.359  33  1 2 0
44.1  2.054  22  2 1 1
44.2  2.049  22  0 1 -4
44.4  2.042  22  0 2 3
64.2  1.451  14  2 0 5
64.3  1.449  14  0 1 7
77.2  1.236  13  3 3 1



[7]
Starting from a structure optimized by DFT (GGA-PBE), the PXRD pattern of Ag8Pd3Au3 was calculated for Cu Kα, 1.54184 Å.
Lines closer than 0.1° are merged.

Atomic structure:
```
data_Ag8Pd3Au3
_chemical_formula_sum 'Ag16 Pd6 Au6'
_space_group_name_H-M_alt 'I m m m'
_space_group_IT_number 71
_space_group_name_Hall '-I 2 2'
_cell_length_a 4.6830
_cell_length_b 8.3707
_cell_length_c 12.9331
_cell_angle_alpha 90.00
_cell_angle_beta 90.00
_cell_angle_gamma 90.00
loop_
_atom_site_label
_atom_site_type_symbol
_atom_site_fract_x
_atom_site_fract_y
_atom_site_fract_z
Ag1 Ag 0.0000 0.1610 0.2145
Ag2 Ag 0.0000 0.3269 0.3968
Pd1 Pd 0.0000 0.0000 0.5000
Pd2 Pd 0.0000 0.5000 0.1912
Au1 Au 0.0000 0.0000 0.0000
Au2 Au 0.0000 0.3282 0.0000
```

Main lines, by angle (2θ from 10° to 90°):
2θ/deg  d_spacing  I_rel  hkl
35.4  2.536  14  1 1 4
38.4  2.342  85  2 0 0
39.8  2.264  64  1 0 5
40.1  2.248  100  1 3 2
55.5  1.656  25  2 3 3
70.2  1.340  14  1 3 8
70.7  1.333  18  3 3 2
80.9  1.188  15  1 6 5



[8]
Starting from a structure optimized by DFT (GGA-PBE), the PXRD pattern of Ag3Pd3Au2 was calculated for Cu Kα, 1.54184 Å.
Lines closer than 0.1° are merged.

Atomic structure:
```
data_Ag3Pd3Au2
_chemical_formula_sum 'Ag6 Pd6 Au4'
_space_group_name_H-M_alt 'I m m m'
_space_group_IT_number 71
_space_group_name_Hall '-I 2 2'
_cell_length_a 4.0554
_cell_length_b 4.1312
_cell_length_c 16.1468
_cell_angle_alpha 90.00
_cell_angle_beta 90.00
_cell_angle_gamma 90.00
loop_
_atom_site_label
_atom_site_type_symbol
_atom_site_fract_x
_atom_site_fract_y
_atom_site_fract_z
Ag1 Ag 0.0000 0.0000 0.0000
Ag2 Ag 0.0000 0.5000 0.1225
Pd1 Pd 0.0000 0.0000 0.5000
Pd2 Pd 0.0000 0.5000 0.3758
Au1 Au 0.0000 0.0000 0.2500
```

Main lines, by angle (2θ from 10° to 90°):
2θ/deg  d_spacing  I_rel  hkl
38.3  2.352  100  1 1 4
43.8  2.066  17  0 2 0
44.7  2.028  16  2 0 0
44.9  2.018  16  0 0 8
76.8  1.241  13  1 3 4
78.1  1.224  12  3 1 4
78.4  1.220  12  1 1 12
81.9  1.176  11  2 2 8



[9]
Starting from a structure optimized by DFT (GGA-PBE), the PXRD pattern of Ag2Pd3Au5 was calculated for Cu Kα, 1.54184 Å.
Lines closer than 0.1° are merged.

Atomic structure:
```
data_Ag2Pd3Au5
_chemical_formula_sum 'Ag8 Pd12 Au20'
_space_group_name_H-M_alt 'C 1 2/c 1'
_space_group_IT_number 15
_space_group_name_Hall '-C 2yc'
_cell_length_a 9.3267
_cell_length_b 10.9139
_cell_length_c 8.0715
_cell_angle_alpha 90.00
_cell_angle_beta 113.95
_cell_angle_gamma 90.00
loop_
_atom_site_label
_atom_site_type_symbol
_atom_site_fract_x
_atom_site_fract_y
_atom_site_fract_z
Ag1 Ag 0.1952 0.1280 0.0591
Pd1 Pd 0.0000 0.2549 0.7500
Pd2 Pd 0.1932 0.3742 0.5753
Au1 Au 0.0000 0.0063 0.2500
Au2 Au 0.0000 0.2476 0.2500
Au3 Au 0.0000 0.4941 0.7500
Au4 Au 0.2401 0.1259 0.7308
```

Main lines, by angle (2θ from 10° to 90°):
2θ/deg  d_spacing  I_rel  hkl
24.1  3.688  52  0 0 2
32.6  2.744  24  2 2 1
37.8  2.380  37  2 2 -3
39.2  2.298  100  2 4 0
39.3  2.292  45  4 0 -2
40.2  2.242  25  0 2 3
41.5  2.176  48  2 4 -2
42.4  2.131  26  4 0 0



[10]
Starting from a structure optimized by DFT (GGA-PBE), the PXRD pattern of Ag5PdAu6 was calculated for Cu Kα, 1.54184 Å.
Lines closer than 0.1° are merged.

Atomic structure:
```
data_Ag5PdAu6
_chemical_formula_sum 'Ag10 Pd2 Au12'
_space_group_name_H-M_alt 'C 1 2/m 1'
_space_group_IT_number 12
_space_group_name_Hall '-C 2y'
_cell_length_a 9.7023
_cell_length_b 8.7455
_cell_length_c 5.0846
_cell_angle_alpha 90.00
_cell_angle_beta 100.13
_cell_angle_gamma 90.00
loop_
_atom_site_label
_atom_site_type_symbol
_atom_site_fract_x
_atom_site_fract_y
_atom_site_fract_z
Ag1 Ag 0.0000 0.0000 0.0000
Ag2 Ag 0.0000 0.1685 0.5000
Ag3 Ag 0.0000 0.3344 0.0000
Pd1 Pd 0.0000 0.5000 0.5000
Au1 Au 0.2479 0.3343 0.7504
Au2 Au 0.2489 0.5000 0.2545
```

Main lines, by angle (2θ from 10° to 90°):
2θ/deg  d_spacing  I_rel  hkl
37.5  2.397  34  2 0 -2
37.7  2.385  100  4 0 0
43.7  2.072  22  2 0 2
43.8  2.066  44  3 3 -1
63.5  1.465  21  1 3 -3
63.7  1.461  14  5 3 1
76.2  1.249  17  3 3 3
76.5  1.245  17  4 6 0



[11]
Starting from a structure optimized by DFT (GGA-PBE), the PXRD pattern of AgPd8Au5 was calculated for Cu Kα, 1.54184 Å.
Lines closer than 0.1° are merged.

Atomic structure:
```
data_AgPd8Au5
_chemical_formula_sum 'Ag2 Pd16 Au10'
_space_group_name_H-M_alt 'I -4'
_space_group_IT_number 82
_space_group_name_Hall 'I -4'
_cell_length_a 7.5963
_cell_length_b 7.5963
_cell_length_c 8.6564
_cell_angle_alpha 90.00
_cell_angle_beta 90.00
_cell_angle_gamma 90.00
loop_
_atom_site_label
_atom_site_type_symbol
_atom_site_fract_x
_atom_site_fract_y
_atom_site_fract_z
Ag1 Ag 0.0000 0.0000 0.0000
Pd1 Pd 0.0730 0.1678 0.6277
Pd2 Pd 0.0907 0.3383 0.0105
Au1 Au 0.0000 0.5000 0.7500
Au2 Au 0.1394 0.2833 0.3191
```

Main lines, by angle (2θ from 10° to 90°):
2θ/deg  d_spacing  I_rel  hkl
28.2  3.162  33  1 2 1
33.2  2.697  34  1 0 3
37.0  2.430  81  3 0 1
37.4  2.402  48  1 3 0
41.0  2.199  100  2 1 3
43.1  2.100  27  1 3 2
44.2  2.047  44  3 2 1
77.1  1.236  27  1 3 6



[12]
Starting from a structure optimized by DFT (GGA-PBE), the PXRD pattern of Ag6Pd10Au was calculated for Cu Kα, 1.54184 Å.
Lines closer than 0.1° are merged.

Atomic structure:
```
data_Ag6Pd10Au
_chemical_formula_sum 'Ag6 Pd10 Au1'
_space_group_name_H-M_alt 'P -3 1 m'
_space_group_IT_number 162
_space_group_name_Hall '-P 3 2'
_cell_length_a 7.7655
_cell_length_b 7.7655
_cell_length_c 5.5413
_cell_angle_alpha 90.00
_cell_angle_beta 90.00
_cell_angle_gamma 120.00
loop_
_atom_site_label
_atom_site_type_symbol
_atom_site_fract_x
_atom_site_fract_y
_atom_site_fract_z
Ag1 Ag 0.0000 0.3423 0.3348
Pd1 Pd 0.0000 0.3185 0.8441
Pd2 Pd 0.3333 0.6667 0.0000
Pd3 Pd 0.3333 0.6667 0.5000
Au1 Au 0.0000 0.0000 0.5000
```

Main lines, by angle (2θ from 10° to 90°):
2θ/deg  d_spacing  I_rel  hkl
40.0  2.255  100  1 1 2
40.2  2.242  97  3 0 0
58.0  1.590  32  4 -2 2
72.4  1.305  16  2 -1 4
72.9  1.297  31  4 1 2
73.1  1.294  15  3 3 0
86.3  1.128  10  2 2 4
86.9  1.121  10  6 0 0